[1]
Simulated powder X-ray diffraction pattern of K4AsPPt2 for Cu Kα (weighted mean of Kα1 and Kα2), from a DFT-relaxed cell (GGA-PBE, OQMD).
Peak positions follow from Bragg's law for the DFT cell and can differ from measured ones.

Principal peaks in the range 15° ≤ 2θ ≤ 90°, by intensity:
- d = 4.964 Å, 2θ = 17.9°, I 100
- d = 2.612 Å, 2θ = 34.3°, I 96
- d = 3.036 Å, 2θ = 29.4°, I 87
- d = 2.093 Å, 2θ = 43.2°, I 82
- d = 2.306 Å, 2θ = 39.1°, I 52
- d = 1.655 Å, 2θ = 55.5°, I 48
- d = 2.464 Å, 2θ = 36.5°, I 47
- d = 3.025 Å, 2θ = 29.5°, I 35
- d = 2.689 Å, 2θ = 33.3°, I 32
- d = 1.690 Å, 2θ = 54.3°, I 31

Crystal structure
a b c (Å): 5.7911 9.9282 7.6298
angles (deg): 90.00 90.00 90.00
Atoms (fractional coordinates):
K1 0.0000 0.1720 0.0000
K2 0.0000 0.3280 0.5000
K3 0.0000 0.6720 0.5000
K4 0.0000 0.8280 0.0000
K5 0.5000 0.1735 0.7001
K6 0.5000 0.3265 0.2001
K7 0.5000 0.6735 0.2001
K8 0.5000 0.8265 0.7001
As1 0.0000 0.0000 0.6052
As2 0.0000 0.5000 0.1052
P1 0.5000 0.0000 0.1065
P2 0.5000 0.5000 0.6065
Pt1 0.2473 0.0000 0.3409
Pt2 0.2473 0.5000 0.8409
Pt3 0.7527 0.0000 0.3409
Pt4 0.7527 0.5000 0.8409

***

[2]
Simulated powder X-ray diffraction pattern of K2Sm2AsP for Cu Kα (weighted mean of Kα1 and Kα2), from a DFT-relaxed cell (GGA-PBE, OQMD).
Peak positions follow from Bragg's law for the DFT cell and can differ from measured ones.

Principal peaks in the range 15° ≤ 2θ ≤ 90°, by intensity:
- d = 3.266 Å, 2θ = 27.3°, I 100
- d = 2.650 Å, 2θ = 33.8°, I 74
- d = 2.540 Å, 2θ = 35.3°, I 58
- d = 2.115 Å, 2θ = 42.8°, I 35
- d = 2.417 Å, 2θ = 37.2°, I 34
- d = 1.487 Å, 2θ = 62.5°, I 26
- d = 3.106 Å, 2θ = 28.7°, I 23
- d = 1.574 Å, 2θ = 58.7°, I 23
- d = 1.722 Å, 2θ = 53.2°, I 21
- d = 3.925 Å, 2θ = 22.7°, I 20

Crystal structure
a b c (Å): 5.0797 5.0797 7.8494
angles (deg): 90.00 90.00 90.00
Atoms (fractional coordinates):
K1 0.0000 0.0000 0.0000
K2 0.5000 0.5000 0.2307
Sm1 0.0000 0.5000 0.6086
Sm2 0.5000 0.0000 0.6086
As1 0.5000 0.5000 0.8043
P1 0.0000 0.0000 0.4355

***

[3]
Simulated powder X-ray diffraction pattern of K2Tm2AsP for Cu Kα (weighted mean of Kα1 and Kα2), from a DFT-relaxed cell (GGA-PBE, OQMD).
Peak positions follow from Bragg's law for the DFT cell and can differ from measured ones.

Principal peaks in the range 15° ≤ 2θ ≤ 90°, by intensity:
- d = 3.155 Å, 2θ = 28.3°, I 100
- d = 2.593 Å, 2θ = 34.6°, I 77
- d = 2.435 Å, 2θ = 36.9°, I 54
- d = 2.089 Å, 2θ = 43.3°, I 37
- d = 2.326 Å, 2θ = 38.7°, I 36
- d = 1.434 Å, 2θ = 65.0°, I 27
- d = 3.943 Å, 2θ = 22.5°, I 25
- d = 1.711 Å, 2θ = 53.6°, I 24
- d = 1.511 Å, 2θ = 61.3°, I 22
- d = 3.064 Å, 2θ = 29.1°, I 21

Crystal structure
a b c (Å): 4.8693 4.8693 7.8861
angles (deg): 90.00 90.00 90.00
Atoms (fractional coordinates):
K1 0.0000 0.0000 0.0000
K2 0.5000 0.5000 0.2404
Tm1 0.0000 0.5000 0.6137
Tm2 0.5000 0.0000 0.6137
As1 0.5000 0.5000 0.8059
P1 0.0000 0.0000 0.4465

***

[4]
Simulated powder X-ray diffraction pattern of K4TmAsP for Cu Kα (weighted mean of Kα1 and Kα2), from a DFT-relaxed cell (GGA-PBE, OQMD).
Peak positions follow from Bragg's law for the DFT cell and can differ from measured ones.

Principal peaks in the range 15° ≤ 2θ ≤ 90°, by intensity:
- d = 2.910 Å, 2θ = 30.7°, I 100
- d = 4.967 Å, 2θ = 17.9°, I 88
- d = 2.519 Å, 2θ = 35.6°, I 56
- d = 4.763 Å, 2θ = 18.6°, I 55
- d = 3.809 Å, 2θ = 23.4°, I 52
- d = 1.903 Å, 2θ = 47.8°, I 37
- d = 1.594 Å, 2θ = 57.9°, I 26
- d = 2.162 Å, 2θ = 41.8°, I 25
- d = 1.680 Å, 2θ = 54.6°, I 18
- d = 1.260 Å, 2θ = 75.5°, I 17

Crystal structure
a b c (Å): 10.2587 10.2587 10.2587
angles (deg): 32.96 32.96 32.96
Atoms (fractional coordinates):
K1 0.0000 0.0000 0.0000
K2 0.1840 0.1840 0.1840
K3 0.3818 0.3818 0.3818
K4 0.7967 0.7967 0.7967
Tm1 0.5925 0.5925 0.5925
As1 0.4992 0.4992 0.4992
P1 0.6819 0.6819 0.6819

***

[5]
Simulated powder X-ray diffraction pattern of K2Zn2AsP for Cu Kα (weighted mean of Kα1 and Kα2), from a DFT-relaxed cell (GGA-PBE, OQMD).
Peak positions follow from Bragg's law for the DFT cell and can differ from measured ones.

Principal peaks in the range 15° ≤ 2θ ≤ 90°, by intensity:
- d = 2.961 Å, 2θ = 30.2°, I 100
- d = 2.089 Å, 2θ = 43.3°, I 44
- d = 5.154 Å, 2θ = 17.2°, I 42
- d = 1.623 Å, 2θ = 56.7°, I 38
- d = 2.577 Å, 2θ = 34.8°, I 28
- d = 1.936 Å, 2θ = 46.9°, I 19
- d = 1.707 Å, 2θ = 53.7°, I 18
- d = 1.322 Å, 2θ = 71.4°, I 14
- d = 1.552 Å, 2θ = 59.6°, I 13
- d = 1.092 Å, 2θ = 89.8°, I 10

Crystal structure
a b c (Å): 4.1781 4.1781 10.3080
angles (deg): 90.00 90.00 120.00
Atoms (fractional coordinates):
K1 0.0000 0.0000 0.2472
K2 0.0000 0.0000 0.7528
Zn1 0.3333 0.6667 0.5000
Zn2 0.6667 0.3333 0.0000
As1 0.6667 0.3333 0.5000
P1 0.3333 0.6667 0.0000

***

[6]
Simulated powder X-ray diffraction pattern of KRbAsPd for Cu Kα (weighted mean of Kα1 and Kα2), from a DFT-relaxed cell (GGA-PBE, OQMD).
Peak positions follow from Bragg's law for the DFT cell and can differ from measured ones.

Principal peaks in the range 15° ≤ 2θ ≤ 90°, by intensity:
- d = 2.798 Å, 2θ = 32.0°, I 100
- d = 2.377 Å, 2θ = 37.8°, I 75
- d = 3.120 Å, 2θ = 28.6°, I 71
- d = 5.145 Å, 2θ = 17.2°, I 70
- d = 2.764 Å, 2θ = 32.4°, I 65
- d = 2.686 Å, 2θ = 33.4°, I 62
- d = 3.287 Å, 2θ = 27.1°, I 57
- d = 2.169 Å, 2θ = 41.6°, I 45
- d = 3.170 Å, 2θ = 28.1°, I 43
- d = 2.576 Å, 2θ = 34.8°, I 39

Crystal structure
a b c (Å): 6.4124 5.9617 6.5500
angles (deg): 90.00 105.11 90.00
Atoms (fractional coordinates):
K1 0.1795 0.2500 0.0134
K2 0.8205 0.7500 0.9866
Rb1 0.4710 0.7500 0.3233
Rb2 0.5290 0.2500 0.6767
As1 0.2383 0.7500 0.7571
As2 0.7617 0.2500 0.2429
Pd1 0.0000 0.0000 0.5000
Pd2 0.0000 0.5000 0.5000